Entry 1:
This entry pairs a crystal structure of Cu7Pb with its computed powder diffractogram. Radiation: Cu Kα. Structure: DFT lattice parameters and positions (PBE).

Structural model:
a b c (Å): 2.782 3.383 30.992
angles (deg): 90.00 90.00 90.00
Space group Pmmn (No. 59, origin choice 2)
Unique sites:
Cu (0.250, 0.250, 0.021)
Cu (0.250, 0.250, 0.104)
Cu (0.250, 0.250, 0.186)
Cu (0.250, 0.250, 0.268)
Cu (0.250, 0.250, 0.772)
Cu (0.250, 0.250, 0.855)
Cu (0.250, 0.250, 0.938)
Pb (0.250, 0.250, 0.668)

Principal peaks in the range 2θ = 5–70°, low angle first:
h k l, 2theta, I (rel.)
0 0 2, 5.70, 100.0
0 0 3, 8.56, 26.3
0 0 6, 17.17, 7.5
0 1 8, 35.22, 6.2
0 1 11, 41.72, 11.3
1 1 0, 42.05, 33.6
0 1 12, 44.12, 15.6
1 0 11, 45.84, 8.5
1 0 12, 48.07, 12.0
0 2 0, 54.24, 8.4


Entry 2:
This entry pairs a crystal structure of Cu9Pb with its computed powder diffractogram. Radiation: Cu Kα. Structure: DFT lattice parameters and positions (PBE).

Structural model:
a b c (Å): 2.730 3.395 37.776
angles (deg): 90.00 90.00 90.00
Space group Pmmn (No. 59, origin choice 2)
Unique sites:
Cu (0.250, 0.250, 0.017)
Cu (0.250, 0.250, 0.084)
Cu (0.250, 0.250, 0.152)
Cu (0.250, 0.250, 0.219)
Cu (0.250, 0.250, 0.287)
Cu (0.250, 0.250, 0.746)
Cu (0.250, 0.250, 0.814)
Cu (0.250, 0.250, 0.882)
Cu (0.250, 0.250, 0.950)
Pb (0.250, 0.250, 0.660)

Principal peaks in the range 2θ = 5–70°, low angle first:
h k l, 2theta, I (rel.)
0 0 3, 7.02, 86.6
0 0 6, 14.07, 20.4
0 1 11, 37.24, 14.7
1 1 0, 42.49, 100.0
0 1 14, 42.80, 57.2
0 1 15, 44.81, 26.3
1 0 14, 47.37, 35.4
1 0 15, 49.21, 23.8
0 2 0, 54.02, 23.8
2 0 0, 68.79, 13.5


Entry 3:
This entry pairs a crystal structure of Cu15Pb with its computed powder diffractogram. Radiation: Cu Kα. Structure: DFT lattice parameters and positions (PBE).

Structural model:
a b c (Å): 3.614 3.618 41.896
angles (deg): 90.00 90.00 90.00
Space group Pmma (No. 51)
Unique sites:
Cu (0.250, 0.000, 0.021)
Cu (0.250, 0.000, 0.106)
Cu (0.250, 0.000, 0.192)
Cu (0.250, 0.000, 0.278)
Cu (0.250, 0.000, 0.682)
Cu (0.250, 0.000, 0.765)
Cu (0.250, 0.000, 0.851)
Cu (0.250, 0.000, 0.936)
Cu (0.250, 0.500, 0.064)
Cu (0.250, 0.500, 0.149)
Cu (0.250, 0.500, 0.235)
Cu (0.250, 0.500, 0.722)
Cu (0.250, 0.500, 0.808)
Cu (0.250, 0.500, 0.894)
Cu (0.250, 0.500, 0.979)
Pb (0.250, 0.500, 0.345)

Principal peaks in the range 2θ = 5–70°, low angle first:
h k l, 2theta, I (rel.)
0 0 3, 6.33, 60.0
0 0 6, 12.68, 12.9
1 1 5, 36.75, 10.6
0 1 13, 37.40, 9.1
1 1 8, 39.21, 15.2
1 1 9, 40.24, 9.6
1 1 11, 42.59, 100.0
1 1 12, 43.89, 74.0
2 0 0, 50.48, 58.5
0 0 24, 52.41, 14.3


Entry 4:
This entry pairs a crystal structure of Cu15Pb with its computed powder diffractogram. Radiation: Cu Kα. Structure: DFT lattice parameters and positions (PBE).

Structural model:
a b c (Å): 7.008 2.639 34.058
angles (deg): 90.00 90.03 90.00
Space group P2_1/m (No. 11)
Unique sites:
Cu (0.121, 0.250, 0.168)
Cu (0.124, 0.250, 0.093)
Cu (0.125, 0.250, 0.018)
Cu (0.125, 0.250, 0.793)
Cu (0.125, 0.250, 0.870)
Cu (0.125, 0.250, 0.944)
Cu (0.128, 0.250, 0.244)
Cu (0.372, 0.750, 0.832)
Cu (0.374, 0.750, 0.907)
Cu (0.375, 0.750, 0.055)
Cu (0.375, 0.750, 0.130)
Cu (0.375, 0.750, 0.204)
Cu (0.375, 0.750, 0.278)
Cu (0.375, 0.750, 0.981)
Cu (0.378, 0.750, 0.756)
Pb (0.125, 0.250, 0.700)

Principal peaks in the range 2θ = 5–70°, low angle first:
h k l, 2theta, I (rel.)
0 0 2, 5.19, 100.0
0 0 4, 10.39, 8.9
0 0 7, 18.20, 4.4
2 0 11, 38.81, 6.7
2 1 0, 42.92, 44.9
2 0 13, 43.11, 24.6
2 0 14, 45.39, 7.7
0 1 13, 48.99, 16.6
0 1 14, 51.06, 5.3
4 0 0, 52.23, 12.2


Entry 5:
This entry pairs a crystal structure of Cu15Pb with its computed powder diffractogram. Radiation: Cu Kα. Structure: DFT lattice parameters and positions (PBE).

Structural model:
a b c (Å): 5.109 2.636 41.230
angles (deg): 90.00 90.04 90.00
Space group P2_1/m (No. 11)
Unique sites:
Cu (0.118, 0.250, 0.223)
Cu (0.125, 0.250, 0.308)
Cu (0.125, 0.250, 0.393)
Cu (0.125, 0.250, 0.479)
Cu (0.125, 0.250, 0.564)
Cu (0.125, 0.250, 0.649)
Cu (0.125, 0.250, 0.734)
Cu (0.368, 0.750, 0.777)
Cu (0.375, 0.750, 0.182)
Cu (0.375, 0.750, 0.265)
Cu (0.375, 0.750, 0.351)
Cu (0.375, 0.750, 0.436)
Cu (0.375, 0.750, 0.521)
Cu (0.375, 0.750, 0.607)
Cu (0.375, 0.750, 0.692)
Pb (0.125, 0.250, 0.843)

Principal peaks in the range 2θ = 5–70°, low angle first:
h k l, 2theta, I (rel.)
0 0 3, 6.43, 80.5
0 0 6, 12.88, 18.9
0 1 8, 38.36, 14.6
2 0 8, 39.38, 17.9
0 1 11, 41.89, 71.5
2 0 11, 42.84, 66.9
0 1 12, 43.26, 62.5
2 0 12, 44.18, 55.6
2 1 0, 49.70, 100.0
0 0 24, 53.33, 14.4


Entry 6:
This entry pairs a crystal structure of Cu15Pb with its computed powder diffractogram. Radiation: Cu Kα. Structure: DFT lattice parameters and positions (PBE).

Structural model:
a b c (Å): 5.108 3.589 34.096
angles (deg): 90.00 90.02 90.00
Space group P2_1/m (No. 11)
Unique sites:
Cu (0.122, 0.250, 0.242)
Cu (0.125, 0.250, 0.018)
Cu (0.125, 0.250, 0.093)
Cu (0.125, 0.250, 0.167)
Cu (0.125, 0.250, 0.795)
Cu (0.125, 0.250, 0.870)
Cu (0.125, 0.250, 0.944)
Cu (0.372, 0.750, 0.758)
Cu (0.375, 0.750, 0.056)
Cu (0.375, 0.750, 0.130)
Cu (0.375, 0.750, 0.204)
Cu (0.375, 0.750, 0.277)
Cu (0.375, 0.750, 0.833)
Cu (0.375, 0.750, 0.908)
Cu (0.375, 0.750, 0.982)
Pb (0.125, 0.250, 0.698)

Principal peaks in the range 2θ = 5–70°, low angle first:
h k l, 2theta, I (rel.)
0 0 2, 5.18, 100.0
0 0 4, 10.38, 7.8
0 1 9, 34.41, 5.4
0 1 11, 38.37, 5.2
0 1 13, 42.70, 26.3
2 1 0, 43.51, 45.0
0 1 14, 44.98, 9.1
2 0 13, 49.83, 14.9
0 2 0, 50.87, 11.3
2 0 14, 51.87, 5.7


Entry 7:
This entry pairs a crystal structure of Cu9Pb2 with its computed powder diffractogram. Radiation: Cu Kα. Structure: DFT lattice parameters and positions (PBE).

Structural model:
a b c (Å): 2.9345 2.9345 31.4356
angles (deg): 90.00 90.00 120.00
Space group P-3m1 (No. 164)
Unique sites:
Cu (0.0000, 0.0000, 0.0000)
Cu (0.0000, 0.0000, 0.1748)
Cu (0.3333, 0.6667, 0.1163)
Cu (0.3333, 0.6667, 0.7667)
Cu (0.3333, 0.6667, 0.9419)
Pb (0.3333, 0.6667, 0.3099)

Principal peaks in the range 2θ = 5–70°, low angle first:
h k l, 2theta, I (rel.)
0 0 2, 5.62, 100.0
0 0 3, 8.44, 22.6
0 0 5, 14.09, 12.8
1 0 2, 35.79, 6.6
0 0 13, 37.18, 10.6
1 0 5, 38.20, 23.6
1 0 6, 39.41, 23.8
0 1 9, 44.07, 8.0
0 1 11, 47.90, 17.0
1 1 0, 63.40, 9.4